1.
Simulated X-ray diffraction stick pattern of AcCe2ErSe5 for Cu Kα (weighted mean of Kα1 and Kα2), from a DFT-relaxed cell (PBE, Alexandria).
Peak positions follow from Bragg's law for the DFT cell and can differ from measured ones.

Atomic structure:
```
AcCe2ErSe5
1.0
5.1108 0.0000 0.0000
0.0000 5.1108 0.0000
0.0000 0.0000 11.3424
Ac Ce Er Se
1 2 1 5
Cartesian
0.0000 0.0000 0.0000
2.5554 2.5554 3.7316
2.5554 2.5554 7.6109
0.0000 0.0000 5.6712
0.0000 0.0000 2.9075
0.0000 0.0000 8.4350
0.0000 2.5554 5.6712
2.5554 0.0000 5.6712
2.5554 2.5554 0.0000
```

Main lines, in order of rising 2θ (5° ≤ 2θ ≤ 70°):
hkl, 2θ (°), I_rel
0 0 1, 7.8, 34
0 0 2, 15.6, 25
1 0 2, 23.4, 43
1 1 0, 24.6, 100
0 0 4, 31.6, 22
1 1 3, 34.3, 54
2 0 0, 35.1, 82
1 0 4, 36.2, 44
2 1 2, 42.7, 22
2 0 4, 47.9, 27
2 2 0, 50.5, 29
2 1 4, 51.3, 33



2.
Simulated X-ray diffraction stick pattern of BaCdGeIr for Cu Kα (weighted mean of Kα1 and Kα2), from a DFT-relaxed cell (PBE, Alexandria).
Peak positions follow from Bragg's law for the DFT cell and can differ from measured ones.

Atomic structure:
```
BaCdGeIr
1.0
4.2164 0.0000 0.0000
0.0000 4.2164 0.0000
0.0000 0.0000 12.4350
Ba Cd Ge Ir
2 2 2 2
Cartesian
1.0541 1.0541 2.9176
3.1623 3.1623 9.5174
1.0541 3.1623 6.2175
3.1623 1.0541 6.2175
1.0541 1.0541 11.1129
3.1623 3.1623 1.3221
1.0541 3.1623 0.0000
3.1623 1.0541 0.0000
```

Main lines, in order of rising 2θ (5° ≤ 2θ ≤ 70°):
hkl, 2θ (°), I_rel
0 0 1, 7.1, 100
0 0 2, 14.2, 40
1 0 1, 22.3, 11
0 0 4, 28.7, 27
1 0 3, 30.2, 28
1 1 2, 33.3, 99
1 1 4, 42.0, 19
2 0 0, 42.9, 37
2 0 4, 52.4, 20
2 1 3, 53.4, 11
1 1 6, 53.9, 31
2 2 0, 62.3, 12



3.
Simulated X-ray diffraction stick pattern of LiIn4 for Cu Kα (weighted mean of Kα1 and Kα2), from a DFT-relaxed cell (PBE, Alexandria).
Peak positions follow from Bragg's law for the DFT cell and can differ from measured ones.

Atomic structure:
```
LiIn4
1.0
7.0674 0.0000 0.0000
0.0000 6.0556 0.0000
-1.9592 0.0000 5.9714
Li In
2 8
Cartesian
-0.4898 1.2454 1.4929
-1.4694 4.8102 4.4786
0.5319 2.6551 3.9140
1.5115 3.4005 0.9283
2.0377 0.3961 0.2947
1.0582 5.6595 3.2805
4.0501 0.3961 2.6910
3.0705 5.6595 5.6767
3.5968 2.6551 5.0431
4.5764 3.4005 2.0574
```

Main lines, in order of rising 2θ (5° ≤ 2θ ≤ 70°):
hkl, 2θ (°), I_rel
2 0 0, 26.5, 100
1 0 -2, 28.7, 38
0 2 0, 29.5, 46
0 2 1, 33.2, 24
0 1 2, 33.4, 51
1 2 -1, 34.0, 43
1 0 2, 36.6, 81
1 2 1, 37.6, 24
2 2 0, 40.1, 34
3 1 -2, 44.9, 22
2 2 1, 46.0, 20
1 2 2, 47.6, 21